[1]
Diffraction record for Ba3Ti3O8. The PXRD pattern is simulated, not measured: it uses a GGA-PBE-relaxed structure and λ = 1.5418 Å (Cu Kα).

Principal peaks in the range 2θ from 15° to 90°, by angle:
22.1 deg, 4.025 Å, I = 21
30.9 deg, 2.893 Å, I = 100
31.4 deg, 2.846 Å, I = 42
38.3 deg, 2.350 Å, I = 25
43.5 deg, 2.080 Å, I = 16
45.0 deg, 2.013 Å, I = 30
54.7 deg, 1.679 Å, I = 12
55.6 deg, 1.653 Å, I = 19
55.7 deg, 1.651 Å, I = 18
64.3 deg, 1.448 Å, I = 9

abc: 5.795 5.795 7.042
angles: 91.48 91.48 58.80
Atoms (fractional coordinates):
Ba  0.000  0.000  0.000
Ba  0.335  0.335  0.667
Ba  0.665  0.665  0.333
Ti  0.000  0.000  0.500
Ti  0.318  0.318  0.184
Ti  0.682  0.682  0.816
O  0.000  0.500  0.000
O  0.166  0.166  0.339
O  0.172  0.665  0.327
O  0.335  0.828  0.673
O  0.500  0.000  0.000
O  0.665  0.172  0.327
O  0.828  0.335  0.673
O  0.834  0.834  0.661

---

[2]
Diffraction record for PbAu2. The PXRD pattern is simulated, not measured: it uses a GGA-PBE-relaxed structure and λ = 1.5418 Å (Cu Kα).

Principal peaks in the range 2θ from 15° to 90°, by angle:
30.9 deg, 2.894 Å, I = 26
31.5 deg, 2.844 Å, I = 15
36.0 deg, 2.496 Å, I = 56
36.9 deg, 2.433 Å, I = 100
38.3 deg, 2.349 Å, I = 57
55.7 deg, 1.652 Å, I = 13
59.6 deg, 1.550 Å, I = 23
64.4 deg, 1.447 Å, I = 28
65.7 deg, 1.422 Å, I = 13
78.7 deg, 1.216 Å, I = 12

abc: 8.333 5.690 11.374
angles: 90.00 90.00 90.00
Atoms (fractional coordinates):
Pb  0.127  0.008  0.126
Pb  0.127  0.992  0.626
Pb  0.373  0.492  0.626
Pb  0.373  0.508  0.126
Pb  0.627  0.492  0.874
Pb  0.627  0.508  0.374
Pb  0.873  0.008  0.374
Pb  0.873  0.992  0.874
Au  0.000  0.483  0.250
Au  0.000  0.500  0.000
Au  0.000  0.500  0.500
Au  0.000  0.517  0.750
Au  0.228  0.214  0.875
Au  0.228  0.786  0.375
Au  0.272  0.286  0.375
Au  0.272  0.714  0.875
Au  0.500  0.000  0.000
Au  0.500  0.000  0.500
Au  0.500  0.017  0.750
Au  0.500  0.983  0.250
Au  0.728  0.286  0.125
Au  0.728  0.714  0.625
Au  0.772  0.214  0.625
Au  0.772  0.786  0.125

---

[3]
Diffraction record for LiMg2Ir. The PXRD pattern is simulated, not measured: it uses a GGA-PBE-relaxed structure and λ = 1.5418 Å (Cu Kα).

Principal peaks in the range 2θ from 15° to 90°, by angle:
24.2 deg, 3.679 Å, I = 100
28.0 deg, 3.186 Å, I = 31
40.0 deg, 2.253 Å, I = 73
47.3 deg, 1.922 Å, I = 51
49.5 deg, 1.840 Å, I = 9
57.9 deg, 1.593 Å, I = 12
63.6 deg, 1.462 Å, I = 21
65.5 deg, 1.425 Å, I = 12
72.7 deg, 1.301 Å, I = 25
77.9 deg, 1.226 Å, I = 16

abc: 4.506 4.506 4.506
angles: 60.00 60.00 60.00
Atoms (fractional coordinates):
Li  0.000  0.000  0.000
Mg  0.250  0.250  0.250
Mg  0.750  0.750  0.750
Ir  0.500  0.500  0.500

---

[4]
Diffraction record for Zr5Se8. The PXRD pattern is simulated, not measured: it uses a GGA-PBE-relaxed structure and λ = 1.5418 Å (Cu Kα).

Principal peaks in the range 2θ from 15° to 90°, by angle:
27.2 deg, 3.273 Å, I = 10
32.7 deg, 2.737 Å, I = 100
46.5 deg, 1.954 Å, I = 37
47.4 deg, 1.918 Å, I = 35
57.2 deg, 1.611 Å, I = 6
58.8 deg, 1.571 Å, I = 18
68.6 deg, 1.369 Å, I = 11
77.4 deg, 1.234 Å, I = 16
78.8 deg, 1.215 Å, I = 15
87.6 deg, 1.114 Å, I = 12

abc: 25.872 25.872 25.872
angles: 8.50 8.50 8.50
Atoms (fractional coordinates):
Zr  0.000  0.000  0.000
Zr  0.125  0.125  0.125
Zr  0.375  0.375  0.375
Zr  0.625  0.625  0.625
Zr  0.875  0.875  0.875
Se  0.062  0.062  0.062
Se  0.188  0.188  0.188
Se  0.313  0.313  0.313
Se  0.438  0.438  0.438
Se  0.562  0.562  0.562
Se  0.687  0.687  0.687
Se  0.812  0.812  0.812
Se  0.938  0.938  0.938

---

[5]
Diffraction record for SrNi10P6. The PXRD pattern is simulated, not measured: it uses a GGA-PBE-relaxed structure and λ = 1.5418 Å (Cu Kα).

Principal peaks in the range 2θ from 15° to 90°, by angle:
29.9 deg, 2.985 Å, I = 55
33.5 deg, 2.678 Å, I = 51
35.8 deg, 2.510 Å, I = 99
36.5 deg, 2.464 Å, I = 61
37.9 deg, 2.375 Å, I = 73
46.9 deg, 1.939 Å, I = 51
47.9 deg, 1.900 Å, I = 100
52.4 deg, 1.747 Å, I = 44
55.6 deg, 1.653 Å, I = 51
57.3 deg, 1.607 Å, I = 48

abc: 8.654 8.654 8.726
angles: 90.00 90.00 136.39
Atoms (fractional coordinates):
Sr  0.000  0.000  0.000
Sr  0.500  0.500  0.500
Ni  0.027  0.374  0.470
Ni  0.044  0.956  0.619
Ni  0.086  0.414  0.750
Ni  0.126  0.473  0.030
Ni  0.207  0.793  0.791
Ni  0.293  0.707  0.291
Ni  0.374  0.027  0.530
Ni  0.414  0.086  0.250
Ni  0.456  0.544  0.119
Ni  0.473  0.126  0.970
Ni  0.527  0.874  0.030
Ni  0.544  0.456  0.881
Ni  0.586  0.914  0.750
Ni  0.626  0.973  0.470
Ni  0.707  0.293  0.709
Ni  0.793  0.207  0.209
Ni  0.874  0.527  0.970
Ni  0.914  0.586  0.250
Ni  0.956  0.044  0.381
Ni  0.973  0.626  0.530
P  0.091  0.909  0.371
P  0.144  0.356  0.250
P  0.208  0.792  0.073
P  0.292  0.708  0.573
P  0.356  0.144  0.750
P  0.409  0.591  0.871
P  0.591  0.409  0.129
P  0.644  0.856  0.250
P  0.708  0.292  0.427
P  0.792  0.208  0.927
P  0.856  0.644  0.750
P  0.909  0.091  0.629

---

[6]
Diffraction record for Rb2TlSbBr6. The PXRD pattern is simulated, not measured: it uses a GGA-PBE-relaxed structure and λ = 1.5418 Å (Cu Kα).

Principal peaks in the range 2θ from 15° to 90°, by angle:
21.1 deg, 4.211 Å, I = 55
25.9 deg, 3.438 Å, I = 24
30.0 deg, 2.978 Å, I = 100
33.7 deg, 2.663 Å, I = 28
37.0 deg, 2.431 Å, I = 25
43.0 deg, 2.106 Å, I = 72
53.3 deg, 1.719 Å, I = 25
57.9 deg, 1.592 Å, I = 15
70.7 deg, 1.332 Å, I = 31
78.7 deg, 1.216 Å, I = 23

abc: 8.422 8.422 8.422
angles: 60.00 60.00 60.00
Atoms (fractional coordinates):
Rb  0.250  0.250  0.250
Rb  0.750  0.750  0.750
Tl  0.000  0.000  0.000
Sb  0.500  0.500  0.500
Br  0.264  0.264  0.736
Br  0.264  0.736  0.264
Br  0.264  0.736  0.736
Br  0.736  0.264  0.264
Br  0.736  0.264  0.736
Br  0.736  0.736  0.264

---

[7]
Diffraction record for DyMg2Cu9. The PXRD pattern is simulated, not measured: it uses a GGA-PBE-relaxed structure and λ = 1.5418 Å (Cu Kα).

Principal peaks in the range 2θ from 15° to 90°, by angle:
23.3 deg, 3.826 Å, I = 14
26.5 deg, 3.368 Å, I = 25
34.9 deg, 2.568 Å, I = 23
35.6 deg, 2.521 Å, I = 22
37.4 deg, 2.403 Å, I = 17
41.8 deg, 2.163 Å, I = 41
42.5 deg, 2.128 Å, I = 100
45.7 deg, 1.984 Å, I = 28
68.7 deg, 1.366 Å, I = 22
75.4 deg, 1.260 Å, I = 19

abc: 5.042 5.042 15.873
angles: 90.00 90.00 120.00
Atoms (fractional coordinates):
Dy  0.333  0.667  0.250
Dy  0.667  0.333  0.750
Mg  0.333  0.667  0.031
Mg  0.333  0.667  0.469
Mg  0.667  0.333  0.531
Mg  0.667  0.333  0.969
Cu  0.000  0.000  0.000
Cu  0.000  0.000  0.250
Cu  0.000  0.000  0.500
Cu  0.000  0.000  0.750
Cu  0.168  0.337  0.623
Cu  0.168  0.337  0.877
Cu  0.168  0.832  0.623
Cu  0.168  0.832  0.877
Cu  0.333  0.667  0.750
Cu  0.337  0.168  0.123
Cu  0.337  0.168  0.377
Cu  0.663  0.832  0.623
Cu  0.663  0.832  0.877
Cu  0.667  0.333  0.250
Cu  0.832  0.168  0.123
Cu  0.832  0.168  0.377
Cu  0.832  0.663  0.123
Cu  0.832  0.663  0.377

---

[8]
Diffraction record for Cu2PbSe2Cl2O6. The PXRD pattern is simulated, not measured: it uses a GGA-PBE-relaxed structure and λ = 1.5418 Å (Cu Kα).

Principal peaks in the range 2θ from 15° to 90°, by angle:
16.9 deg, 5.256 Å, I = 33
17.1 deg, 5.193 Å, I = 15
22.1 deg, 4.024 Å, I = 19
25.9 deg, 3.445 Å, I = 100
29.1 deg, 3.064 Å, I = 50
34.2 deg, 2.625 Å, I = 16
35.0 deg, 2.567 Å, I = 13
35.4 deg, 2.537 Å, I = 34
36.8 deg, 2.444 Å, I = 13
43.0 deg, 2.103 Å, I = 24

abc: 8.232 8.232 6.990
angles: 90.95 90.95 72.84
Atoms (fractional coordinates):
Cu  0.000  0.500  0.000
Cu  0.111  0.889  0.750
Cu  0.500  0.000  0.500
Cu  0.889  0.111  0.250
Pb  0.343  0.657  0.250
Pb  0.657  0.343  0.750
Se  0.067  0.268  0.588
Se  0.268  0.067  0.088
Se  0.732  0.933  0.912
Se  0.933  0.732  0.412
Cl  0.271  0.477  0.881
Cl  0.477  0.271  0.381
Cl  0.523  0.729  0.619
Cl  0.729  0.523  0.119
O  0.054  0.625  0.217
O  0.083  0.202  0.178
O  0.106  0.798  0.493
O  0.202  0.083  0.678
O  0.202  0.894  0.007
O  0.375  0.946  0.283
O  0.625  0.054  0.717
O  0.798  0.106  0.993
O  0.798  0.917  0.322
O  0.894  0.202  0.507
O  0.917  0.798  0.822
O  0.946  0.375  0.783